Record 1
# FeIrPt2
Simulated powder X-ray diffraction pattern, Cu Ka. Input: DFT lattice parameters and positions (PBE).

Crystal structure
Cell lengths 2.7419, 3.8165, 5.5849 Å; angles 90.00, 90.00, 90.00 degrees
Fractional positions:
Fe 0.0000 0.0000 0.0000
Ir 0.5000 0.5000 0.2326
Pt 0.0000 0.0000 0.4828
Pt 0.5000 0.5000 0.7527

Principal peaks in the range 10° ≤ 2θ ≤ 80°, sorted by position:
two_theta	I/Imax
15.9	14
28.3	15
40.0	100
40.5	98
46.4	66
47.7	31
67.0	11
68.7	41

***

Record 2
# FeIr8Rh6
Simulated powder X-ray diffraction pattern, Cu Ka. Input: DFT lattice parameters and positions (PBE).

Crystal structure
Cell lengths 9.9334, 9.9334, 2.7040 Å; angles 90.00, 90.00, 120.00 degrees
Fractional positions:
Fe 0.0000 0.0000 0.0000
Ir 0.0732 0.2705 0.7456
Ir 0.1973 0.9268 0.7456
Ir 0.2705 0.1973 0.2544
Ir 0.3333 0.6667 0.2518
Ir 0.6667 0.3333 0.7482
Ir 0.7295 0.8027 0.7456
Ir 0.8027 0.0732 0.2544
Ir 0.9268 0.7295 0.2544
Rh 0.0967 0.6281 0.7498
Rh 0.3719 0.4686 0.7498
Rh 0.4686 0.0967 0.2502
Rh 0.5314 0.9033 0.7498
Rh 0.6281 0.5314 0.2502
Rh 0.9033 0.3719 0.2502

Principal peaks in the range 10° ≤ 2θ ≤ 80°, sorted by position:
two_theta	I/Imax
27.4	48
37.7	81
39.4	97
43.5	100
46.0	38
46.1	32
48.5	50
57.8	24

***

Record 3
# FeIr5Rh6
Simulated powder X-ray diffraction pattern, Cu Ka. Input: DFT lattice parameters and positions (PBE).

Crystal structure
Cell lengths 7.1830, 7.1830, 7.1830 Å; angles 149.04, 115.08, 73.66 degrees
Fractional positions:
Fe 0.0000 0.0000 0.0000
Ir 0.1644 0.6644 0.5000
Ir 0.3324 0.3324 0.0000
Ir 0.5000 0.0000 0.5000
Ir 0.6676 0.6676 0.0000
Ir 0.8356 0.3356 0.5000
Rh 0.0829 0.8344 0.2485
Rh 0.2486 0.5000 0.7486
Rh 0.4142 0.1656 0.2485
Rh 0.5858 0.8344 0.7515
Rh 0.7514 0.5000 0.2514
Rh 0.9171 0.1656 0.7515

Principal peaks in the range 10° ≤ 2θ ≤ 80°, sorted by position:
two_theta	I/Imax
13.8	3
23.1	5
33.0	4
40.7	100
47.1	16
47.4	32
69.1	21
69.3	10

***

Record 4
# Fe5Ir4Rh2
Simulated powder X-ray diffraction pattern, Cu Ka. Input: DFT lattice parameters and positions (PBE).

Crystal structure
Cell lengths 6.6276, 16.3164, 2.7439 Å; angles 90.00, 90.00, 90.00 degrees
Fractional positions:
Fe 0.0000 0.0000 0.0000
Fe 0.1682 0.4265 0.0000
Fe 0.2381 0.6935 0.0000
Fe 0.2619 0.1935 0.0000
Fe 0.3318 0.9265 0.0000
Fe 0.5000 0.5000 0.0000
Fe 0.6682 0.0735 0.0000
Fe 0.7381 0.8065 0.0000
Fe 0.7619 0.3065 0.0000
Fe 0.8318 0.5735 0.0000
Ir 0.0419 0.8634 0.5000
Ir 0.1691 0.5591 0.5000
Ir 0.3309 0.0591 0.5000
Ir 0.4581 0.3634 0.5000
Ir 0.5419 0.6366 0.5000
Ir 0.6691 0.9409 0.5000
Ir 0.8309 0.4409 0.5000
Ir 0.9581 0.1366 0.5000
Rh 0.0795 0.2990 0.5000
Rh 0.4205 0.7990 0.5000
Rh 0.5795 0.2010 0.5000
Rh 0.9205 0.7010 0.5000

Principal peaks in the range 10° ≤ 2θ ≤ 80°, sorted by position:
two_theta	I/Imax
31.6	37
32.6	50
41.0	74
41.2	57
42.0	100
44.3	30
46.1	63
53.4	34

***

Record 5
# Fe4IrRh15
Simulated powder X-ray diffraction pattern, Cu Ka. Input: DFT lattice parameters and positions (PBE).

Crystal structure
Cell lengths 3.8231, 3.8231, 19.0097 Å; angles 90.00, 90.00, 90.00 degrees
Fractional positions:
Fe 0.0000 0.0000 0.0995
Fe 0.0000 0.0000 0.2976
Fe 0.0000 0.0000 0.7024
Fe 0.0000 0.0000 0.9005
Ir 0.0000 0.0000 0.5000
Rh 0.0000 0.5000 0.0000
Rh 0.0000 0.5000 0.1995
Rh 0.0000 0.5000 0.3989
Rh 0.0000 0.5000 0.6011
Rh 0.0000 0.5000 0.8005
Rh 0.5000 0.0000 0.0000
Rh 0.5000 0.0000 0.1995
Rh 0.5000 0.0000 0.3989
Rh 0.5000 0.0000 0.6011
Rh 0.5000 0.0000 0.8005
Rh 0.5000 0.5000 0.0997
Rh 0.5000 0.5000 0.2993
Rh 0.5000 0.5000 0.5000
Rh 0.5000 0.5000 0.7007
Rh 0.5000 0.5000 0.9003

Principal peaks in the range 10° ≤ 2θ ≤ 80°, sorted by position:
two_theta	I/Imax
14.0	1
23.7	2
25.1	1
41.0	100
47.6	32
47.8	16
69.5	10
69.8	20

***

Record 6
# Fe2Ir5Rh12
Simulated powder X-ray diffraction pattern, Cu Ka. Input: DFT lattice parameters and positions (PBE).

Crystal structure
Cell lengths 9.1636, 9.1636, 4.7286 Å; angles 93.91, 93.91, 46.52 degrees
Fractional positions:
Fe 0.1883 0.8117 0.0000
Fe 0.8117 0.1883 0.0000
Ir 0.1423 0.1423 0.9239
Ir 0.2212 0.2212 0.4321
Ir 0.5000 0.5000 0.5000
Ir 0.7788 0.7788 0.5679
Ir 0.8577 0.8577 0.0761
Rh 0.0661 0.0661 0.4026
Rh 0.1169 0.4779 0.8469
Rh 0.1755 0.5580 0.3799
Rh 0.4257 0.4257 0.9744
Rh 0.4420 0.8245 0.6201
Rh 0.4779 0.1169 0.8469
Rh 0.5221 0.8831 0.1531
Rh 0.5580 0.1755 0.3799
Rh 0.5743 0.5743 0.0256
Rh 0.8245 0.4420 0.6201
Rh 0.8831 0.5221 0.1531
Rh 0.9339 0.9339 0.5974

Principal peaks in the range 10° ≤ 2θ ≤ 80°, sorted by position:
two_theta	I/Imax
36.1	45
37.1	41
38.8	100
40.2	41
40.7	90
42.9	65
45.4	79
46.0	41

***

Record 7
# Fe3IrRh2
Simulated powder X-ray diffraction pattern, Cu Ka. Input: DFT lattice parameters and positions (PBE).

Crystal structure
Cell lengths 7.7081, 7.7081, 7.7081 Å; angles 117.12, 117.12, 95.07 degrees
Fractional positions:
Fe 0.0000 0.0000 0.0000
Fe 0.0000 0.0000 0.5000
Fe 0.0000 0.5000 0.0000
Fe 0.1822 0.4322 0.3644
Fe 0.1822 0.8178 0.7500
Fe 0.4322 0.1822 0.8644
Fe 0.4322 0.5678 0.2500
Fe 0.5000 0.0000 0.5000
Fe 0.5678 0.4322 0.7500
Fe 0.5678 0.8178 0.1356
Fe 0.8178 0.1822 0.2500
Fe 0.8178 0.5678 0.6356
Ir 0.2238 0.4738 0.7500
Ir 0.4738 0.2238 0.2500
Ir 0.5262 0.7762 0.7500
Ir 0.7762 0.5262 0.2500
Rh 0.1424 0.2231 0.9193
Rh 0.1962 0.7769 0.4193
Rh 0.2231 0.1424 0.4193
Rh 0.2231 0.8038 0.0807
Rh 0.7769 0.1962 0.9193
Rh 0.7769 0.8576 0.5807
Rh 0.8038 0.2231 0.5807
Rh 0.8576 0.7769 0.0807

Principal peaks in the range 10° ≤ 2θ ≤ 80°, sorted by position:
two_theta	I/Imax
22.1	24
28.0	18
34.5	14
36.0	15
41.4	100
42.6	40
45.1	18
48.5	21

***

Record 8
# Fe2Ir4Rh5
Simulated powder X-ray diffraction pattern, Cu Ka. Input: DFT lattice parameters and positions (PBE).

Crystal structure
Cell lengths 6.8588, 16.3628, 2.7450 Å; angles 90.00, 90.00, 90.00 degrees
Fractional positions:
Fe 0.0394 0.1885 0.0000
Fe 0.4606 0.6885 0.0000
Fe 0.5394 0.3115 0.0000
Fe 0.9606 0.8115 0.0000
Ir 0.0838 0.6501 0.0000
Ir 0.2133 0.9249 0.0000
Ir 0.2867 0.4249 0.0000
Ir 0.4162 0.1501 0.0000
Ir 0.5838 0.8499 0.0000
Ir 0.7133 0.5751 0.0000
Ir 0.7867 0.0751 0.0000
Ir 0.9162 0.3499 0.0000
Rh 0.0000 0.5000 0.5000
Rh 0.1347 0.0637 0.5000
Rh 0.2344 0.2846 0.5000
Rh 0.2656 0.7846 0.5000
Rh 0.3653 0.5637 0.5000
Rh 0.5000 0.0000 0.5000
Rh 0.6347 0.4363 0.5000
Rh 0.7344 0.2154 0.5000
Rh 0.7656 0.7154 0.5000
Rh 0.8653 0.9363 0.5000

Principal peaks in the range 10° ≤ 2θ ≤ 80°, sorted by position:
two_theta	I/Imax
39.5	38
40.8	36
41.0	54
41.8	100
42.3	38
42.5	25
43.7	49
45.5	25